# La2CeScSe4
Calculated powder diffraction line list, Cu Kα, 1.54184 Å. Input: the PBE geometry in Alexandria.
Kinematic intensities with the Lorentz-polarization factor, no thermal factor.

Main lines, sorted by position (15° ≤ 2θ ≤ 90°):
2θ 30.2, rel. 100.0; 2θ 42.9, rel. 12.0; 2θ 43.2, rel. 24.0; 2θ 43.4, rel. 24.4; 2θ 43.6, rel. 12.3; 2θ 54.0, rel. 12.7

Cell and atoms:
```
data_La2CeScSe4
_cell_length_a 7.241
_cell_length_b 4.154
_cell_length_c 7.283
_cell_angle_alpha 90.00
_cell_angle_beta 109.05
_cell_angle_gamma 90.00
_space_group_name_H-M_alt 'P 1 2/m 1'
_space_group_IT_number 10
_space_group_name_Hall '-P 2y'
loop_
_atom_site_label
_atom_site_type_symbol
_atom_site_fract_x
_atom_site_fract_y
_atom_site_fract_z
La1 La 0.000 0.000 0.000
La2 La 0.500 0.500 0.000
Ce1 Ce 0.000 0.500 0.500
Sc1 Sc 0.500 0.000 0.500
Se1 Se 0.257 0.000 0.733
Se2 Se 0.270 0.500 0.275
```